# 1
Computed powder XRD pattern of CuTeO4 for a wavelength of 1.5418 Å, from DFT lattice parameters and positions (GGA-PBE).
Intensities are scaled so that the largest is 100.

Atomic structure:
Lattice parameters (Å, degrees): 6.6025 8.9399 12.3508 90.00 91.98 90.00
Positions (direct):
Cu1 0.1198 0.0454 0.3774
Cu2 0.1198 0.4546 0.8774
Cu3 0.2943 0.6433 0.3840
Cu4 0.2943 0.8567 0.8840
Cu5 0.7057 0.1433 0.1160
Cu6 0.7057 0.3567 0.6160
Cu7 0.8802 0.5454 0.1226
Cu8 0.8802 0.9546 0.6226
Te1 0.0977 0.6050 0.6326
Te2 0.0977 0.8950 0.1326
Te3 0.4019 0.0578 0.6451
Te4 0.4019 0.4422 0.1451
Te5 0.5981 0.5578 0.8549
Te6 0.5981 0.9422 0.3549
Te7 0.9023 0.1050 0.8674
Te8 0.9023 0.3950 0.3674
O1 0.0104 0.5887 0.3773
O2 0.0104 0.9113 0.8773
O3 0.1058 0.2409 0.8981
O4 0.1058 0.2591 0.3981
O5 0.1529 0.5015 0.0811
O6 0.1529 0.9985 0.5811
O7 0.1872 0.6254 0.7800
O8 0.1872 0.8746 0.2800
O9 0.3136 0.6276 0.5413
O10 0.3136 0.8724 0.0413
O11 0.3736 0.0215 0.7911
O12 0.3736 0.4785 0.2911
O13 0.4069 0.0751 0.4091
O14 0.4069 0.4249 0.9091
O15 0.4459 0.2384 0.1229
O16 0.4459 0.2616 0.6229
O17 0.5541 0.7384 0.3771
O18 0.5541 0.7616 0.8771
O19 0.5931 0.5751 0.0909
O20 0.5931 0.9249 0.5909
O21 0.6264 0.5215 0.7089
O22 0.6264 0.9785 0.2089
O23 0.6864 0.1276 0.9587
O24 0.6864 0.3724 0.4587
O25 0.8128 0.1254 0.7200
O26 0.8128 0.3746 0.2200
O27 0.8471 0.0015 0.4189
O28 0.8471 0.4985 0.9189
O29 0.8942 0.7409 0.6019
O30 0.8942 0.7591 0.1019
O31 0.9896 0.0887 0.1227
O32 0.9896 0.4113 0.6227

Main lines, low angle first (2θ = 10–90°):
2θ/deg	I/Imax
19.9	49
21.8	41
22.4	42
25.0	36
25.3	48
28.9	100
29.5	41
30.0	64
30.9	31
47.9	34

---

# 2
Computed powder XRD pattern of UCuP2 for a wavelength of 1.5418 Å, from DFT lattice parameters and positions (GGA-PBE).
Intensities are scaled so that the largest is 100.

Atomic structure:
Lattice parameters (Å, degrees): 9.6631 9.6631 9.6631 157.50 157.50 32.04
Positions (direct):
U1 0.1093 0.1093 0.0000
U2 0.8907 0.8907 0.0000
Cu1 0.2500 0.7500 0.5000
Cu2 0.7500 0.2500 0.5000
P1 0.0000 0.5000 0.5000
P2 0.3319 0.3319 0.0000
P3 0.5000 0.0000 0.5000
P4 0.6681 0.6681 0.0000

Main lines, low angle first (2θ = 10–90°):
2θ/deg	I/Imax
19.1	20
24.1	83
33.9	76
38.9	100
48.3	33
50.4	30
54.6	19
60.3	30
72.4	22
83.7	23

---

# 3
Computed powder XRD pattern of Te2Au for a wavelength of 1.5418 Å, from DFT lattice parameters and positions (GGA-PBE).
Intensities are scaled so that the largest is 100.

Atomic structure:
Lattice parameters (Å, degrees): 4.2274 4.2274 5.1926 90.00 90.00 120.00
Positions (direct):
Te1 0.3333 0.6667 0.2898
Te2 0.6667 0.3333 0.7102
Au1 0.0000 0.0000 0.0000

Main lines, low angle first (2θ = 10–90°):
2θ/deg	I/Imax
17.1	12
29.9	100
42.7	81
46.4	6
53.0	20
62.0	14
70.3	12
70.4	17
78.3	21
88.4	6

---

# 4
Computed powder XRD pattern of SrEuNbBiO6 for a wavelength of 1.5418 Å, from DFT lattice parameters and positions (GGA-PBE).
Intensities are scaled so that the largest is 100.

Atomic structure:
Lattice parameters (Å, degrees): 6.0811 6.0811 6.0811 60.00 60.00 60.00
Positions (direct):
Sr1 0.0000 0.0000 0.0000
Eu1 0.5000 0.5000 0.5000
Nb1 0.7500 0.7500 0.7500
Bi1 0.2500 0.2500 0.2500
O1 0.5168 0.5168 0.9832
O2 0.5168 0.9832 0.5168
O3 0.5168 0.9832 0.9832
O4 0.9832 0.5168 0.5168
O5 0.9832 0.5168 0.9832
O6 0.9832 0.9832 0.5168

Main lines, low angle first (2θ = 10–90°):
2θ/deg	I/Imax
17.9	11
29.4	100
34.6	9
42.0	29
46.0	5
52.1	41
60.9	19
69.1	19
76.8	6
84.3	22

---

# 5
Computed powder XRD pattern of CaRhN2 for a wavelength of 1.5418 Å, from DFT lattice parameters and positions (GGA-PBE).
Intensities are scaled so that the largest is 100.

Atomic structure:
Lattice parameters (Å, degrees): 5.4034 5.4034 5.4034 35.15 35.15 35.15
Positions (direct):
Ca1 0.0000 0.0000 0.0000
Rh1 0.5000 0.5000 0.5000
N1 0.2332 0.2332 0.2332
N2 0.7668 0.7668 0.7668

Main lines, low angle first (2θ = 10–90°):
2θ/deg	I/Imax
17.5	48
32.2	22
33.8	79
35.5	25
39.8	100
56.4	34
58.6	27
68.4	22
70.4	11
71.2	16

---

# 6
Computed powder XRD pattern of TlFeBr3 for a wavelength of 1.5418 Å, from DFT lattice parameters and positions (GGA-PBE).
Intensities are scaled so that the largest is 100.

Atomic structure:
Lattice parameters (Å, degrees): 12.7014 12.7014 6.0352 90.00 90.00 120.00
Positions (direct):
Tl1 0.0000 0.3289 0.0000
Tl2 0.0000 0.6711 0.5000
Tl3 0.3289 0.0000 0.0000
Tl4 0.3289 0.3289 0.5000
Tl5 0.6711 0.0000 0.5000
Tl6 0.6711 0.6711 0.0000
Fe1 0.0000 0.0000 0.3040
Fe2 0.0000 0.0000 0.8040
Fe3 0.3333 0.6667 0.2284
Fe4 0.3333 0.6667 0.7284
Fe5 0.6667 0.3333 0.2284
Fe6 0.6667 0.3333 0.7284
Br1 0.0000 0.1712 0.5587
Br2 0.0000 0.8288 0.0587
Br3 0.1712 0.0000 0.5587
Br4 0.1712 0.1712 0.0587
Br5 0.1810 0.5144 0.4776
Br6 0.1810 0.6666 0.9776
Br7 0.3334 0.5144 0.9776
Br8 0.3334 0.8190 0.4776
Br9 0.4856 0.6666 0.4776
Br10 0.4856 0.8190 0.9776
Br11 0.5144 0.1810 0.4776
Br12 0.5144 0.3334 0.9776
Br13 0.6666 0.1810 0.9776
Br14 0.6666 0.4856 0.4776
Br15 0.8190 0.3334 0.4776
Br16 0.8190 0.4856 0.9776
Br17 0.8288 0.0000 0.0587
Br18 0.8288 0.8288 0.5587

Main lines, low angle first (2θ = 10–90°):
2θ/deg	I/Imax
20.3	26
24.3	23
28.1	13
29.6	19
31.8	100
41.3	23
49.7	24
54.0	17
58.9	15
60.3	15

---

# 7
Computed powder XRD pattern of K2Ge2O3 for a wavelength of 1.5418 Å, from DFT lattice parameters and positions (GGA-PBE).
Intensities are scaled so that the largest is 100.

Atomic structure:
Lattice parameters (Å, degrees): 7.0690 7.0690 7.0690 109.47 109.47 109.47
Positions (direct):
K1 0.0000 0.9945 0.5000
K2 0.5000 0.0000 0.9945
K3 0.5055 0.5055 0.5055
K4 0.9945 0.5000 0.0000
Ge1 0.0000 0.4648 0.5000
Ge2 0.0352 0.0352 0.0352
Ge3 0.4648 0.5000 0.0000
Ge4 0.5000 0.0000 0.4648
O1 0.2451 0.9951 0.2500
O2 0.2500 0.2451 0.9951
O3 0.2549 0.5049 0.7500
O4 0.5049 0.7500 0.2549
O5 0.7500 0.2549 0.5049
O6 0.9951 0.2500 0.2451

Main lines, low angle first (2θ = 10–90°):
2θ/deg	I/Imax
15.4	14
21.8	18
26.8	9
31.0	100
44.4	29
55.1	32
62.3	6
64.6	15
73.4	11
89.9	12

---

# 8
Computed powder XRD pattern of Pr3Ni36Ge16 for a wavelength of 1.5418 Å, from DFT lattice parameters and positions (GGA-PBE).
Intensities are scaled so that the largest is 100.

Atomic structure:
Lattice parameters (Å, degrees): 8.3269 8.3269 11.1122 90.00 90.00 90.00
Positions (direct):
Pr1 0.0000 0.0000 0.0000
Pr2 0.0000 0.0000 0.5000
Pr3 0.5000 0.5000 0.0000
Ni1 0.0000 0.5000 0.2498
Ni2 0.0000 0.5000 0.7502
Ni3 0.1120 0.3850 0.4297
Ni4 0.1120 0.6150 0.5703
Ni5 0.1153 0.3869 0.0710
Ni6 0.1153 0.6131 0.9290
Ni7 0.1808 0.3154 0.6313
Ni8 0.1808 0.6846 0.3687
Ni9 0.1827 0.3176 0.8690
Ni10 0.1827 0.6824 0.1310
Ni11 0.3154 0.1808 0.3687
Ni12 0.3154 0.8192 0.6313
Ni13 0.3176 0.1827 0.1310
Ni14 0.3176 0.8173 0.8690
Ni15 0.3850 0.1120 0.5703
Ni16 0.3850 0.8880 0.4297
Ni17 0.3869 0.1153 0.9290
Ni18 0.3869 0.8847 0.0710
Ni19 0.5000 0.0000 0.2498
Ni20 0.5000 0.0000 0.7502
Ni21 0.6131 0.1153 0.0710
Ni22 0.6131 0.8847 0.9290
Ni23 0.6150 0.1120 0.4297
Ni24 0.6150 0.8880 0.5703
Ni25 0.6824 0.1827 0.8690
Ni26 0.6824 0.8173 0.1310
Ni27 0.6846 0.1808 0.6313
Ni28 0.6846 0.8192 0.3687
Ni29 0.8173 0.3176 0.1310
Ni30 0.8173 0.6824 0.8690
Ni31 0.8192 0.3154 0.3687
Ni32 0.8192 0.6846 0.6313
Ni33 0.8847 0.3869 0.9290
Ni34 0.8847 0.6131 0.0710
Ni35 0.8880 0.3850 0.5703
Ni36 0.8880 0.6150 0.4297
Ge1 0.0560 0.2177 0.2492
Ge2 0.0560 0.7823 0.7508
Ge3 0.2177 0.0560 0.7508
Ge4 0.2177 0.9440 0.2492
Ge5 0.2844 0.4450 0.2549
Ge6 0.2844 0.5550 0.7451
Ge7 0.4450 0.2844 0.7451
Ge8 0.4450 0.7156 0.2549
Ge9 0.5550 0.2844 0.2549
Ge10 0.5550 0.7156 0.7451
Ge11 0.7156 0.4450 0.7451
Ge12 0.7156 0.5550 0.2549
Ge13 0.7823 0.0560 0.2492
Ge14 0.7823 0.9440 0.7508
Ge15 0.9440 0.2177 0.7508
Ge16 0.9440 0.7823 0.2492

Main lines, low angle first (2θ = 10–90°):
2θ/deg	I/Imax
15.0	24
34.0	24
34.5	40
37.8	92
39.0	47
45.7	85
46.3	100
47.6	78
49.2	23
55.1	25